[1]
Starting from the GGA-PBE geometry in Alexandria, the X-ray powder pattern of Pr3DyHo4 was calculated for Cu Kα X-rays.

Structural model:
Cell lengths 11.523, 7.335, 6.309 Å; angles 90.00, 90.00, 90.00 degrees
Positions (direct):
Pr  0.000  0.128  0.000
Pr  0.249  0.127  0.663
Pr  0.251  0.873  0.163
Pr  0.500  0.872  0.500
Pr  0.749  0.873  0.163
Pr  0.751  0.127  0.663
Dy  0.000  0.869  0.500
Dy  0.500  0.131  0.000
Ho  0.000  0.379  0.499
Ho  0.000  0.621  0.997
Ho  0.248  0.621  0.665
Ho  0.252  0.379  0.165
Ho  0.500  0.379  0.497
Ho  0.500  0.621  0.999
Ho  0.748  0.379  0.165
Ho  0.752  0.621  0.665

The 6 most intense peaks (5° ≤ 2θ ≤ 70°), in order of rising 2θ:
Position (°2θ)	Rel. int.
28.14	23
31.04	37
32.23	100
32.35	49
56.01	31
60.02	22

=====

[2]
Starting from the GGA-PBE geometry in Alexandria, the X-ray powder pattern of PrDy6Ho4 was calculated for Cu Kα X-rays.

Structural model:
Cell lengths 5.589, 5.589, 25.643 Å; angles 90.00, 90.00, 118.51 degrees
Positions (direct):
Pr  0.192  0.808  0.750
Pr  0.808  0.192  0.250
Dy  0.138  0.862  0.180
Dy  0.138  0.862  0.320
Dy  0.193  0.807  0.601
Dy  0.193  0.807  0.899
Dy  0.474  0.526  0.250
Dy  0.500  0.500  0.000
Dy  0.500  0.500  0.500
Dy  0.526  0.474  0.750
Dy  0.807  0.193  0.101
Dy  0.807  0.193  0.399
Dy  0.862  0.138  0.680
Dy  0.862  0.138  0.820
Ho  0.156  0.844  0.042
Ho  0.156  0.844  0.458
Ho  0.467  0.533  0.121
Ho  0.467  0.533  0.379
Ho  0.533  0.467  0.621
Ho  0.533  0.467  0.879
Ho  0.844  0.156  0.542
Ho  0.844  0.156  0.958

The 6 most intense peaks (5° ≤ 2θ ≤ 70°), in order of rising 2θ:
Position (°2θ)	Rel. int.
30.44	66
30.69	51
31.30	66
32.04	100
33.38	50
44.41	37

=====

[3]
Starting from the GGA-PBE geometry in Alexandria, the X-ray powder pattern of Pr2Dy7Ho3 was calculated for Cu Kα X-rays.

Structural model:
Cell lengths 19.150, 19.150, 3.613 Å; angles 90.00, 90.00, 162.90 degrees
Positions (direct):
Pr  0.147  0.853  0.000
Pr  0.853  0.147  0.000
Dy  0.000  0.000  0.000
Dy  0.070  0.930  0.500
Dy  0.231  0.769  0.000
Dy  0.411  0.589  0.000
Dy  0.589  0.411  0.000
Dy  0.769  0.231  0.000
Dy  0.930  0.070  0.500
Ho  0.314  0.686  0.500
Ho  0.500  0.500  0.500
Ho  0.686  0.314  0.500

The 6 most intense peaks (5° ≤ 2θ ≤ 70°), in order of rising 2θ:
Position (°2θ)	Rel. int.
30.34	42
31.14	23
31.42	56
31.62	100
33.73	34
34.58	22

=====

[4]
Starting from the GGA-PBE geometry in Alexandria, the X-ray powder pattern of PrDy3Ho5 was calculated for Cu Kα X-rays.

Structural model:
Cell lengths 9.306, 9.306, 12.209 Å; angles 126.10, 126.10, 50.66 degrees
Positions (direct):
Pr  0.237  0.237  0.132
Pr  0.763  0.763  0.868
Dy  0.000  0.000  0.000
Dy  0.172  0.172  0.341
Dy  0.380  0.380  0.685
Dy  0.500  0.500  0.500
Dy  0.620  0.620  0.315
Dy  0.828  0.828  0.659
Ho  0.123  0.123  0.567
Ho  0.141  0.730  0.220
Ho  0.270  0.859  0.780
Ho  0.299  0.299  0.929
Ho  0.321  0.679  0.000
Ho  0.679  0.321  0.000
Ho  0.701  0.701  0.071
Ho  0.730  0.141  0.220
Ho  0.859  0.270  0.780
Ho  0.877  0.877  0.433

The 6 most intense peaks (5° ≤ 2θ ≤ 70°), in order of rising 2θ:
Position (°2θ)	Rel. int.
30.42	51
31.16	61
31.36	100
31.96	62
32.77	61
35.23	44

=====

[5]
Starting from the GGA-PBE geometry in Alexandria, the X-ray powder pattern of Pr3Dy5Ho4 was calculated for Cu Kα X-rays.

Structural model:
Cell lengths 6.197, 7.155, 8.761 Å; angles 89.99, 89.85, 89.81 degrees
Positions (direct):
Pr  0.000  0.000  0.000
Pr  0.166  0.251  0.334
Pr  0.834  0.749  0.666
Dy  0.000  0.500  0.000
Dy  0.335  0.000  0.667
Dy  0.499  0.748  0.000
Dy  0.501  0.252  0.000
Dy  0.665  0.000  0.333
Ho  0.169  0.749  0.333
Ho  0.334  0.500  0.667
Ho  0.666  0.500  0.333
Ho  0.831  0.251  0.667

The 6 most intense peaks (5° ≤ 2θ ≤ 70°), in order of rising 2θ:
Position (°2θ)	Rel. int.
30.61	100
35.46	34
35.55	17
51.03	24
51.13	12
60.71	21

=====

[6]
Starting from the GGA-PBE geometry in Alexandria, the X-ray powder pattern of Pr4Dy3Ho5 was calculated for Cu Kα X-rays.

Structural model:
Cell lengths 8.612, 8.612, 9.424 Å; angles 115.06, 115.06, 40.44 degrees
Positions (direct):
Pr  0.085  0.085  0.446
Pr  0.216  0.216  0.883
Pr  0.784  0.784  0.117
Pr  0.915  0.915  0.554
Dy  0.213  0.213  0.237
Dy  0.500  0.500  0.000
Dy  0.787  0.787  0.763
Ho  0.000  0.000  0.000
Ho  0.329  0.329  0.617
Ho  0.430  0.430  0.298
Ho  0.570  0.570  0.702
Ho  0.671  0.671  0.383

The 6 most intense peaks (5° ≤ 2θ ≤ 70°), in order of rising 2θ:
Position (°2θ)	Rel. int.
30.02	100
31.09	43
31.68	54
32.35	74
33.28	66
43.76	34

=====

[7]
Starting from the GGA-PBE geometry in Alexandria, the X-ray powder pattern of PrDy2Ho12 was calculated for Cu Kα X-rays.

Structural model:
Cell lengths 3.545, 5.553, 24.270 Å; angles 90.00, 94.11, 90.00 degrees
Positions (direct):
Pr  0.000  0.000  0.000
Dy  0.362  0.000  0.727
Dy  0.638  0.000  0.273
Ho  0.071  0.000  0.139
Ho  0.102  0.500  0.203
Ho  0.168  0.500  0.331
Ho  0.217  0.000  0.426
Ho  0.274  0.500  0.555
Ho  0.461  0.500  0.924
Ho  0.539  0.500  0.076
Ho  0.726  0.500  0.445
Ho  0.783  0.000  0.574
Ho  0.832  0.500  0.669
Ho  0.898  0.500  0.797
Ho  0.929  0.000  0.861

The 6 most intense peaks (5° ≤ 2θ ≤ 70°), in order of rising 2θ:
Position (°2θ)	Rel. int.
30.44	100
31.33	43
32.24	68
32.43	38
32.64	70
33.73	32

=====

[8]
Starting from the GGA-PBE geometry in Alexandria, the X-ray powder pattern of Pr3Dy3Ho4 was calculated for Cu Kα X-rays.

Structural model:
Cell lengths 3.695, 9.488, 9.488 Å; angles 89.66, 90.00, 90.00 degrees
Positions (direct):
Pr  0.000  0.000  0.000
Pr  0.000  0.498  0.847
Pr  0.000  0.847  0.498
Dy  0.000  0.347  0.347
Dy  0.500  0.175  0.667
Dy  0.500  0.667  0.175
Ho  0.500  0.052  0.300
Ho  0.500  0.300  0.052
Ho  0.500  0.547  0.547
Ho  0.500  0.798  0.798

The 6 most intense peaks (5° ≤ 2θ ≤ 70°), in order of rising 2θ:
Position (°2θ)	Rel. int.
29.72	32
29.83	32
30.67	31
32.12	100
49.32	12
58.68	19